The following is a theoretical powder X-ray diffraction pattern of CaSm2Ir. It was derived from a DFT-relaxed cell (GGA-PBE, Alexandria), using Cu Kα X-rays.

Peak list (10 most intense, 5 to 70 degrees two-theta, sorted by position)
two_theta	Rel. int.
14.1	100
30.3	34
30.6	41
32.2	73
33.0	38
34.8	51
36.6	29
37.8	97
43.5	31
44.4	29

```
CaSm2Ir
1.0
2.0416 -6.2796 0.0000
2.0416 6.2796 0.0000
0.0000 0.0000 9.0395
Ca Sm Ir
2 4 2
direct
0.0727 0.9273 0.7500
0.9273 0.0727 0.2500
0.3537 0.6463 0.5623
0.3537 0.6463 0.9377
0.6463 0.3537 0.0623
0.6463 0.3537 0.4377
0.2455 0.7545 0.2500
0.7545 0.2455 0.7500
```